Entry 1:
The following is a calculated X-ray diffraction stick pattern of Cs2Be2HgBr6. It was derived from a PBE-relaxed structure, using Cu Kα.

Most intense lines, 5 to 70 degrees two-theta, sorted by position:
12.4°, intensity 41
17.4°, intensity 52
20.6°, intensity 100
21.3°, intensity 63
23.9°, intensity 63
25.2°, intensity 58
29.8°, intensity 46
30.8°, intensity 40
34.0°, intensity 71
37.9°, intensity 55

Atomic structure:
Cell: 8.160 9.029 9.707 Å, 107.08 90.04 116.74°
Sites, in units of the cell vectors:
Cs (0.158, 0.317, 0.282)
Cs (0.842, 0.683, 0.718)
Be (0.134, 0.265, 0.704)
Be (0.866, 0.735, 0.296)
Hg (0.500, 0.000, 0.000)
Br (0.069, 0.697, 0.388)
Br (0.087, 0.170, 0.881)
Br (0.373, 0.302, 0.612)
Br (0.627, 0.698, 0.388)
Br (0.913, 0.830, 0.119)
Br (0.931, 0.303, 0.612)

***

Entry 2:
The following is a calculated X-ray diffraction stick pattern of CsBeInBr4. It was derived from a PBE-relaxed structure, using Cu Kα.

Most intense lines, 5 to 70 degrees two-theta, sorted by position:
23.7°, intensity 41
27.0°, intensity 58
27.4°, intensity 98
27.5°, intensity 76
27.9°, intensity 48
30.2°, intensity 81
30.4°, intensity 100
36.9°, intensity 67
48.5°, intensity 38
56.6°, intensity 27

Atomic structure:
Cell: 6.871 7.514 10.090 Å, 90.00 108.35 90.00°
Sites, in units of the cell vectors:
Cs (0.231, 0.250, 0.398)
Cs (0.769, 0.750, 0.602)
Be (0.118, 0.250, 0.789)
Be (0.882, 0.750, 0.211)
In (0.330, 0.750, 0.034)
In (0.670, 0.250, 0.966)
Br (0.174, 0.250, 0.017)
Br (0.214, 0.750, 0.325)
Br (0.262, 0.012, 0.734)
Br (0.262, 0.488, 0.734)
Br (0.738, 0.512, 0.266)
Br (0.738, 0.988, 0.266)
Br (0.786, 0.250, 0.675)
Br (0.826, 0.750, 0.983)

***

Entry 3:
The following is a calculated X-ray diffraction stick pattern of CsBe2SbBr8. It was derived from a PBE-relaxed structure, using Cu Kα.

Most intense lines, 5 to 70 degrees two-theta, sorted by position:
8.2°, intensity 15
19.0°, intensity 46
24.8°, intensity 26
28.1°, intensity 82
31.7°, intensity 100
31.8°, intensity 23
43.3°, intensity 27
47.5°, intensity 38
54.3°, intensity 15
58.2°, intensity 16

Atomic structure:
Cell: 11.422 11.422 11.422 Å, 33.77 33.77 33.77°
Sites, in units of the cell vectors:
Cs (0.000, 0.000, 0.000)
Be (0.242, 0.242, 0.242)
Be (0.758, 0.758, 0.758)
Sb (0.500, 0.500, 0.500)
Br (0.096, 0.786, 0.459)
Br (0.214, 0.541, 0.904)
Br (0.307, 0.307, 0.307)
Br (0.459, 0.096, 0.786)
Br (0.541, 0.904, 0.214)
Br (0.693, 0.693, 0.693)
Br (0.786, 0.459, 0.096)
Br (0.904, 0.214, 0.541)

***

Entry 4:
The following is a calculated X-ray diffraction stick pattern of Cs2BeTcBr6. It was derived from a PBE-relaxed structure, using Cu Kα.

Most intense lines, 5 to 70 degrees two-theta, sorted by position:
22.7°, intensity 22
27.6°, intensity 17
28.3°, intensity 100
31.0°, intensity 35
33.6°, intensity 56
46.4°, intensity 41
48.3°, intensity 18
53.5°, intensity 13
56.9°, intensity 21
58.5°, intensity 18

Atomic structure:
Cell: 7.853 7.853 7.853 Å, 122.60 122.60 85.55°
Sites, in units of the cell vectors:
Cs (0.250, 0.750, 0.500)
Cs (0.750, 0.250, 0.500)
Be (0.000, 0.000, 0.000)
Tc (0.500, 0.500, 0.000)
Br (0.222, 0.222, 0.444)
Br (0.222, 0.778, 0.000)
Br (0.275, 0.275, 0.000)
Br (0.725, 0.725, 0.000)
Br (0.778, 0.222, 0.000)
Br (0.778, 0.778, 0.556)

***

Entry 5:
The following is a calculated X-ray diffraction stick pattern of Dy3BeBr3. It was derived from a PBE-relaxed structure, using Cu Kα.

Most intense lines, 5 to 70 degrees two-theta, sorted by position:
10.9°, intensity 17
19.0°, intensity 16
27.0°, intensity 17
29.2°, intensity 45
31.2°, intensity 100
36.8°, intensity 24
44.7°, intensity 69
55.6°, intensity 23
59.3°, intensity 18
64.0°, intensity 15

Atomic structure:
Cell: 9.925 9.925 9.925 Å, 109.47 109.47 109.47°
Sites, in units of the cell vectors:
Dy (0.014, 0.029, 0.264)
Dy (0.014, 0.486, 0.750)
Dy (0.029, 0.264, 0.014)
Dy (0.236, 0.264, 0.750)
Dy (0.236, 0.471, 0.486)
Dy (0.264, 0.014, 0.029)
Dy (0.264, 0.750, 0.236)
Dy (0.471, 0.486, 0.236)
Dy (0.486, 0.236, 0.471)
Dy (0.486, 0.750, 0.014)
Dy (0.750, 0.014, 0.486)
Dy (0.750, 0.236, 0.264)
Be (0.000, 0.250, 0.500)
Be (0.250, 0.250, 0.250)
Be (0.250, 0.500, 0.000)
Be (0.500, 0.000, 0.250)
Br (0.250, 0.758, 0.742)
Br (0.250, 0.992, 0.508)
Br (0.508, 0.250, 0.992)
Br (0.508, 0.758, 0.517)
Br (0.517, 0.508, 0.758)
Br (0.742, 0.250, 0.758)
Br (0.742, 0.992, 0.983)
Br (0.758, 0.517, 0.508)
Br (0.758, 0.742, 0.250)
Br (0.983, 0.742, 0.992)
Br (0.992, 0.508, 0.250)
Br (0.992, 0.983, 0.742)

***

Entry 6:
The following is a calculated X-ray diffraction stick pattern of BeBrF2. It was derived from a PBE-relaxed structure, using Cu Kα.

Most intense lines, 5 to 70 degrees two-theta, sorted by position:
20.5°, intensity 32
33.8°, intensity 100
39.8°, intensity 86
41.7°, intensity 7
48.5°, intensity 6
53.2°, intensity 9
60.4°, intensity 36
64.5°, intensity 25

Atomic structure:
Cell: 5.308 5.308 5.308 Å, 60.00 60.00 60.00°
Sites, in units of the cell vectors:
Be (0.125, 0.125, 0.125)
Be (0.875, 0.875, 0.875)
Br (0.375, 0.375, 0.375)
Br (0.625, 0.625, 0.625)
F (0.000, 0.000, 0.000)
F (0.000, 0.000, 0.500)
F (0.000, 0.500, 0.000)
F (0.500, 0.000, 0.000)

***

Entry 7:
The following is a calculated X-ray diffraction stick pattern of PmBeBrF4. It was derived from a PBE-relaxed structure, using Cu Kα.

Most intense lines, 5 to 70 degrees two-theta, sorted by position:
13.7°, intensity 65
18.1°, intensity 29
19.1°, intensity 51
25.2°, intensity 100
30.1°, intensity 61
33.8°, intensity 54
36.1°, intensity 54
36.7°, intensity 29
45.0°, intensity 33
50.1°, intensity 41

Atomic structure:
Cell: 6.175 6.175 6.686 Å, 101.99 101.99 69.92°
Sites, in units of the cell vectors:
Pm (0.239, 0.239, 0.144)
Pm (0.761, 0.761, 0.856)
Be (0.368, 0.368, 0.735)
Be (0.632, 0.632, 0.265)
Br (0.024, 0.024, 0.754)
Br (0.976, 0.976, 0.246)
F (0.141, 0.488, 0.856)
F (0.298, 0.298, 0.502)
F (0.476, 0.476, 0.222)
F (0.488, 0.141, 0.856)
F (0.512, 0.859, 0.144)
F (0.524, 0.524, 0.778)
F (0.702, 0.702, 0.498)
F (0.859, 0.512, 0.144)

***

Entry 8:
The following is a calculated X-ray diffraction stick pattern of Rb2BeBrF6. It was derived from a PBE-relaxed structure, using Cu Kα.

Most intense lines, 5 to 70 degrees two-theta, sorted by position:
28.2°, intensity 59
29.0°, intensity 100
33.4°, intensity 26
35.4°, intensity 33
40.3°, intensity 41
42.5°, intensity 21
50.4°, intensity 30
51.8°, intensity 20
60.0°, intensity 23
66.1°, intensity 14

Atomic structure:
Cell: 6.171 6.171 6.171 Å, 118.36 118.36 92.86°
Sites, in units of the cell vectors:
Rb (0.250, 0.750, 0.500)
Rb (0.750, 0.250, 0.500)
Be (0.000, 0.000, 0.000)
Br (0.500, 0.500, 0.000)
F (0.186, 0.186, 0.371)
F (0.186, 0.814, 0.000)
F (0.273, 0.273, 0.000)
F (0.727, 0.727, 0.000)
F (0.814, 0.186, 0.000)
F (0.814, 0.814, 0.629)